For CaGa2O4, a GGA-PBE-relaxed structure gives the simulated powder XRD pattern in this record (Cu Kα, 1.54184 Å).
Lines closer than 0.1° are merged.

Structure:
Unit cell a=9.2394 b=3.0308 c=10.6977 alpha=90.00 beta=90.00 gamma=90.00
Space group Pnma (No. 62)
Unique sites:
1 Ca 0.2428 0.2500 0.1542 [4 per cell]
2 Ga 0.0647 0.2500 0.3885 [4 per cell]
3 Ga 0.0819 0.2500 0.8956 [4 per cell]
4 O 0.0275 0.7500 0.7836 [4 per cell]
5 O 0.0823 0.2500 0.5721 [4 per cell]
6 O 0.1178 0.7500 0.0228 [4 per cell]
7 O 0.2041 0.7500 0.3381 [4 per cell]

Peak list (8 most intense, 15° ≤ 2θ ≤ 90°, most intense first)
Position (°2θ)  I (rel.)  h k l
33.6  100  3 0 2
35.4  82  1 1 2
49.6  46  4 1 0
61.2  44  0 2 0
19.2  28  2 0 0
71.6  21  3 2 2
40.3  14  1 1 3
42.7  12  4 0 2

***

For K4UP2O10, a GGA-PBE-relaxed structure gives the simulated powder XRD pattern in this record (Cu Kα, 1.54184 Å).
Lines closer than 0.1° are merged.

Structure:
Unit cell a=6.9572 b=6.9572 c=12.0825 alpha=90.00 beta=90.00 gamma=90.00
Space group P4_2/nmc (No. 137, origin choice 2)
Unique sites:
1 K 0.0012 0.2500 0.0789 [8 per cell]
2 U 0.2500 0.7500 0.2500 [2 per cell]
3 P 0.2500 0.2500 0.3329 [4 per cell]
4 O 0.0664 0.2500 0.4031 [8 per cell]
5 O 0.0744 0.2500 0.7486 [8 per cell]
6 O 0.2500 0.7500 0.0968 [4 per cell]

Peak list (8 most intense, 15° ≤ 2θ ≤ 90°, most intense first)
Position (°2θ)  I (rel.)  h k l
25.6  100  2 0 0
29.6  92  2 1 1
39.5  44  2 2 2
47.7  40  3 2 1
45.1  29  0 0 6
23.3  19  1 1 2
61.5  16  3 2 5
71.7  15  4 0 6

***

For Li2FeS2, a GGA-PBE-relaxed structure gives the simulated powder XRD pattern in this record (Cu Kα, 1.54184 Å).
Lines closer than 0.1° are merged.

Structure:
Unit cell a=3.8864 b=3.8864 c=6.2143 alpha=90.00 beta=90.00 gamma=120.00
Space group P3m1 (No. 156)
Unique sites:
1 Li 0.0000 0.0000 0.0000 [1 per cell]
2 Li 0.3333 0.6667 0.3152 [1 per cell]
3 Fe 0.6667 0.3333 0.5934 [1 per cell]
4 S 0.3333 0.6667 0.7164 [1 per cell]
5 S 0.6667 0.3333 0.2173 [1 per cell]

Peak list (8 most intense, 15° ≤ 2θ ≤ 90°, most intense first)
Position (°2θ)  I (rel.)  h k l
26.5  100  1 0 0
30.2  62  1 0 1
46.7  59  1 1 0
39.5  58  1 0 2
51.8  50  1 0 3
28.7  34  0 0 2
55.8  26  1 1 2
72.3  17  0 2 3